Entry 1:
Starting from a cell relaxed with GGA-PBE, the XRD peak list of Zr2Cu2SiGeSb2 was calculated for Cu Kα (λ = 1.5418 Å).
Peak positions follow from Bragg's law for the DFT cell and can differ from measured ones.

Largest 10 diffraction maxima, low angle first, 10° ≤ 2θ ≤ 80°:
2θ (°), I_rel
29.20, 42
36.06, 10
37.46, 100
43.18, 31
46.90, 35
56.20, 13
60.55, 8
60.68, 8
65.64, 18
68.49, 11

Atomic structure:
```
Zr2Cu2SiGeSb2
1.0
3.8748 0.0000 0.0000
0.0000 3.8748 0.0000
0.0000 0.0000 9.9618
Zr Cu Si Ge Sb
2 2 1 1 2
Cartesian
0.0000 1.9374 2.1283 Zr
1.9374 0.0000 7.8335 Zr
0.0000 0.0000 4.9809 Cu
1.9374 1.9374 4.9809 Cu
1.9374 1.9374 0.0000 Si
0.0000 0.0000 0.0000 Ge
0.0000 1.9374 6.8162 Sb
1.9374 0.0000 3.1456 Sb
```

Entry 2:
Starting from a cell relaxed with GGA-PBE, the XRD peak list of Sc3Cu4Si2Ge2 was calculated for Cu Kα (λ = 1.5418 Å).
Peak positions follow from Bragg's law for the DFT cell and can differ from measured ones.

Largest 10 diffraction maxima, low angle first, 10° ≤ 2θ ≤ 80°:
2θ (°), I_rel
13.35, 94
36.27, 96
36.59, 39
37.84, 100
40.81, 26
41.22, 64
45.24, 59
46.78, 27
47.80, 23
49.89, 79

Atomic structure:
```
Sc3Cu4Si2Ge2
1.0
-2.0043 3.2426 6.6330
2.0043 -3.2426 6.6330
2.0043 3.2426 -6.6330
Sc Cu Si Ge
3 4 2 2
Cartesian
0.0000 0.0000 0.0000 Sc
2.0043 0.0000 4.9671 Sc
0.0000 3.2426 1.6659 Sc
2.0043 1.2594 -2.2070 Cu
2.0043 1.2594 2.2070 Cu
0.0000 1.9832 4.4260 Cu
0.0000 1.9832 8.8400 Cu
2.0043 2.0404 0.0000 Si
0.0000 1.2023 6.6330 Si
0.0000 0.0000 2.8853 Ge
0.0000 0.0000 10.3807 Ge
```

Entry 3:
Starting from a cell relaxed with GGA-PBE, the XRD peak list of TmSc2Cu4Si2Ge2 was calculated for Cu Kα (λ = 1.5418 Å).
Peak positions follow from Bragg's law for the DFT cell and can differ from measured ones.

Largest 10 diffraction maxima, low angle first, 10° ≤ 2θ ≤ 80°:
2θ (°), I_rel
15.03, 55
29.94, 28
35.93, 94
36.31, 39
37.60, 100
40.54, 20
45.08, 41
46.19, 28
47.25, 24
49.48, 33

Atomic structure:
```
TmSc2Cu4Si2Ge2
1.0
-2.0111 3.2857 6.6763
2.0111 -3.2857 6.6763
2.0111 3.2857 -6.6763
Tm Sc Cu Si Ge
1 2 4 2 2
Cartesian
0.0000 0.0000 0.0000 Tm
2.0111 0.0000 5.0037 Sc
0.0000 3.2857 1.6726 Sc
2.0111 1.2712 -2.2193 Cu
2.0111 1.2712 2.2193 Cu
0.0000 2.0144 4.4570 Cu
0.0000 2.0144 8.8956 Cu
2.0111 2.0974 0.0000 Si
0.0000 1.1883 6.6763 Si
0.0000 0.0000 2.9464 Ge
0.0000 0.0000 10.4062 Ge
```